(1)
Starting from a GGA-PBE-relaxed structure, the PXRD pattern of LiCaH was calculated for a wavelength of 1.5418 Å.
Intensities are scaled so that the largest is 1000.

Structure:
Cell: 3.540 3.540 4.243 Å, 90.00 90.00 90.00°
Space group P4/mmm (No. 123)
One atom of each set of equivalent atoms:
Li  0.000  0.000  0.000 x1
Ca  0.500  0.500  0.500 x1
H  0.000  0.000  0.500 x1

Main lines, sorted by position (2θ = 5–70°):
2θ (°), I/Imax, hkl
20.9, 605, 0 0 1
25.2, 623, 1 0 0
33.0, 1000, 1 0 1
35.9, 442, 1 1 0
41.9, 339, 1 1 1
62.6, 276, 2 1 1

***

(2)
Starting from a GGA-PBE-relaxed structure, the PXRD pattern of K3Pr3TiS8 was calculated for a wavelength of 1.5418 Å.
Intensities are scaled so that the largest is 1000.

Structure:
Cell: 8.1515 8.1515 22.5635 Å, 90.00 90.00 120.00°
Space group R-3m (No. 166, hexagonal axes)
One atom of each set of equivalent atoms:
K  0.0000  0.5000  0.0000 x9
Pr  0.0000  0.5000  0.5000 x9
Ti  0.0000  0.0000  0.5000 x3
S  0.0000  0.0000  0.2372 x6
S  0.0385  0.5192  0.2297 x18

Main lines, sorted by position (2θ = 5–70°):
2θ (°), I/Imax, hkl
11.8, 852, 0 0 3
25.5, 218, 0 2 1
26.5, 231, 2 0 2
29.9, 1000, 0 2 4
41.0, 333, 2 0 8
44.5, 318, 2 2 0

***

(3)
Starting from a GGA-PBE-relaxed structure, the PXRD pattern of PrHoTlZn was calculated for a wavelength of 1.5418 Å.
Intensities are scaled so that the largest is 1000.

Structure:
Cell: 3.718 3.718 7.620 Å, 90.00 90.00 90.00°
Space group P4mm (No. 99)
One atom of each set of equivalent atoms:
Pr  0.000  0.000  0.000 x1
Ho  0.000  0.000  0.544 x1
Tl  0.500  0.500  0.288 x1
Zn  0.500  0.500  0.751 x1

Main lines, sorted by position (2θ = 5–70°):
2θ (°), I/Imax, hkl
26.7, 166, 1 0 1
33.7, 1000, 1 0 2
34.1, 515, 1 1 0
49.0, 186, 2 0 0
60.0, 157, 1 1 4
60.8, 371, 2 1 2

***

(4)
Starting from a GGA-PBE-relaxed structure, the PXRD pattern of LiInNi was calculated for a wavelength of 1.5418 Å.
Intensities are scaled so that the largest is 1000.

Structure:
Cell: 3.090 3.090 22.688 Å, 90.00 90.00 90.00°
Space group I4/mmm (No. 139)
One atom of each set of equivalent atoms:
Li  0.000  0.000  0.067 x4
In  0.000  0.000  0.347 x4
Ni  0.000  0.000  0.222 x4

Main lines, sorted by position (2θ = 5–70°):
2θ (°), I/Imax, hkl
7.8, 1000, 0 0 2
31.3, 116, 1 0 3
40.3, 250, 1 0 7
41.3, 139, 1 1 0
42.1, 73, 1 1 2
46.5, 118, 1 0 9

***

(5)
Starting from a GGA-PBE-relaxed structure, the PXRD pattern of Ca3Mg2Ni7 was calculated for a wavelength of 1.5418 Å.
Intensities are scaled so that the largest is 1000.

Structure:
Cell: 5.2422 5.2422 24.4153 Å, 90.00 90.00 120.00°
Space group R-3m (No. 166, hexagonal axes)
One atom of each set of equivalent atoms:
Ca  0.0000  0.0000  0.0000 x3
Ca  0.0000  0.0000  0.1396 x6
Mg  0.0000  0.0000  0.3333 x6
Ni  0.0000  0.0000  0.5000 x3
Ni  0.0016  0.5008  0.0859 x18

Main lines, sorted by position (2θ = 5–70°):
2θ (°), I/Imax, hkl
19.9, 340, 1 0 1
39.9, 568, 0 2 1
40.4, 297, 2 0 2
41.0, 1000, 1 1 6
44.0, 677, 2 0 5
44.5, 300, 0 0 12

***

(6)
Starting from a GGA-PBE-relaxed structure, the PXRD pattern of TiVZnW was calculated for a wavelength of 1.5418 Å.
Intensities are scaled so that the largest is 1000.

Structure:
Cell: 6.219 6.219 6.219 Å, 90.00 90.00 90.00°
Space group F-43m (No. 216)
One atom of each set of equivalent atoms:
Ti  0.000  0.000  0.000 x4
V  0.000  0.000  0.500 x4
Zn  0.250  0.250  0.750 x4
W  0.250  0.250  0.250 x4

Main lines, sorted by position (2θ = 5–70°):
2θ (°), I/Imax, hkl
24.8, 242, 1 1 1
28.7, 251, 2 0 0
41.1, 1000, 2 2 0
48.6, 126, 3 1 1
59.5, 162, 4 0 0
67.3, 100, 4 2 0

***

(7)
Starting from a GGA-PBE-relaxed structure, the PXRD pattern of GaSi2HS was calculated for a wavelength of 1.5418 Å.
Intensities are scaled so that the largest is 1000.

Structure:
Cell: 3.769 3.769 8.859 Å, 102.08 90.10 119.99°
Space group P1 (No. 1)
One atom of each set of equivalent atoms:
Ga  0.000  0.000  0.000 x1
Si  0.542  0.087  0.626 x1
Si  0.907  0.815  0.719 x1
H  0.484  0.972  0.451 x1
S  0.706  0.412  0.119 x1

Main lines, sorted by position (2θ = 5–70°):
2θ (°), I/Imax, hkl
10.3, 1000, 0 0 1
20.7, 307, 0 0 2
27.5, 365, 1 -1 0
28.2, 353, 0 1 0
30.7, 321, 0 1 -2
48.3, 301, 2 -1 0

***

(8)
Starting from a GGA-PBE-relaxed structure, the PXRD pattern of HgRu2Br was calculated for a wavelength of 1.5418 Å.
Intensities are scaled so that the largest is 1000.

Structure:
Cell: 3.026 2.992 8.643 Å, 90.00 99.41 90.00°
Space group Pm (No. 6)
One atom of each set of equivalent atoms:
Hg  0.000  0.000  0.000 x1
Ru  0.389  0.500  0.766 x1
Ru  0.806  0.000  0.588 x1
Br  0.692  0.500  0.346 x1

Main lines, sorted by position (2θ = 5–70°):
2θ (°), I/Imax, hkl
10.4, 713, 0 0 1
31.5, 282, 0 0 3
33.4, 343, 1 0 1
33.7, 355, 1 0 -2
36.7, 1000, 0 1 2
42.8, 924, 1 1 -1